Entry 1:
Diffraction record for YCuO3. The powder X-ray diffraction pattern is calculated, not measured: it uses a structure optimized by DFT (PBE) and Cu Kα X-rays.

Principal peaks in the range 2θ from 10° to 90°, in order of falling intensity:
two_theta  Rel. int.  hkl
32.8  100  1 1 2
29.6  77  1 1 1
50.4  60  3 0 0
32.2  40  0 0 4
61.1  36  3 0 4
28.5  24  1 1 0
43.5  23  1 1 4
57.8  23  1 1 6

Cell and atoms:
```
data_YCuO3
_space_group_name_H-M_alt 'P 63 c m'
_space_group_IT_number 185
_space_group_name_Hall 'P 6c -2'
_cell_length_a 6.2684
_cell_length_b 6.2684
_cell_length_c 11.1211
_cell_angle_alpha 90.00
_cell_angle_beta 90.00
_cell_angle_gamma 120.00
loop_
_atom_site_label
_atom_site_type_symbol
_atom_site_fract_x
_atom_site_fract_y
_atom_site_fract_z
Y1 Y 0.0000 0.0000 0.0000
Y2 Y 0.3333 0.6667 0.4627
Cu1 Cu 0.0000 0.3336 0.2280
O1 O 0.0000 0.0000 0.2107
O2 O 0.0000 0.3141 0.3923
O3 O 0.0000 0.3522 0.0635
O4 O 0.3333 0.6667 0.2422
```


Entry 2:
Diffraction record for YCu3O4. The powder X-ray diffraction pattern is calculated, not measured: it uses a structure optimized by DFT (PBE) and Cu Kα X-rays.

Principal peaks in the range 2θ from 10° to 90°, in order of falling intensity:
two_theta  Rel. int.  hkl
39.1  100  2 1 1
35.5  99  2 1 0
61.4  50  3 2 1
66.2  23  4 0 0
59.0  21  3 2 0
77.4  17  4 2 1
31.7  15  2 0 0
56.4  12  2 2 2

Cell and atoms:
```
data_YCu3O4
_space_group_name_H-M_alt 'P m -3 n'
_space_group_IT_number 223
_space_group_name_Hall '-P 4n 2 3'
_cell_length_a 5.6480
_cell_length_b 5.6480
_cell_length_c 5.6480
_cell_angle_alpha 90.00
_cell_angle_beta 90.00
_cell_angle_gamma 90.00
loop_
_atom_site_label
_atom_site_type_symbol
_atom_site_fract_x
_atom_site_fract_y
_atom_site_fract_z
Y1 Y 0.0000 0.0000 0.0000
Cu1 Cu 0.0000 0.2500 0.5000
O1 O 0.2500 0.2500 0.2500
```


Entry 3:
Diffraction record for Y2Cu3O6. The powder X-ray diffraction pattern is calculated, not measured: it uses a structure optimized by DFT (PBE) and Cu Kα X-rays.

Principal peaks in the range 2θ from 10° to 90°, in order of falling intensity:
two_theta  Rel. int.  hkl
33.4  100  1 1 -2
35.3  80  3 1 0
29.3  53  4 0 -2
53.3  39  5 1 -4
57.2  36  7 1 -2
40.3  35  2 0 2
48.2  33  0 2 0
26.1  27  1 1 -1

Cell and atoms:
```
data_Y2Cu3O6
_space_group_name_H-M_alt 'C 1 2/m 1'
_space_group_IT_number 12
_cell_length_a 12.6023
_cell_length_b 3.7768
_cell_length_c 7.9843
_cell_angle_alpha 90.00
_cell_angle_beta 125.14
_cell_angle_gamma 90.00
loop_
_space_group_symop_operation_xyz
'x,y,z'
'-x,-y,-z'
'-x,y,-z'
'x,-y,z'
'x+1/2,y+1/2,z'
'-x+1/2,-y+1/2,-z'
'-x+1/2,y+1/2,-z'
'x+1/2,-y+1/2,z'
loop_
_atom_site_label
_atom_site_type_symbol
_atom_site_fract_x
_atom_site_fract_y
_atom_site_fract_z
Y1 Y 0.1410 0.0000 0.2731
Cu1 Cu 0.0000 0.5000 0.5000
Cu2 Cu 0.1703 0.0000 0.8427
O1 O 0.0759 0.0000 0.9393
O2 O 0.1178 0.5000 0.4383
O3 O 0.2327 0.5000 0.2493
```


Entry 4:
Diffraction record for Y4Cu2O7. The powder X-ray diffraction pattern is calculated, not measured: it uses a structure optimized by DFT (PBE) and Cu Kα X-rays.

Principal peaks in the range 2θ from 10° to 90°, in order of falling intensity:
two_theta  Rel. int.  hkl
33.7  100  3 1 0
32.4  61  1 1 -2
31.4  49  2 0 2
31.9  40  4 0 -2
43.3  31  2 0 -4
49.5  22  0 2 0
55.7  22  1 1 4
56.4  17  5 1 -4

Cell and atoms:
```
data_Y4Cu2O7
_space_group_name_H-M_alt 'C 1 2/m 1'
_space_group_IT_number 12
_cell_length_a 12.1884
_cell_length_b 3.6796
_cell_length_c 8.3545
_cell_angle_alpha 90.00
_cell_angle_beta 109.05
_cell_angle_gamma 90.00
loop_
_space_group_symop_operation_xyz
'x,y,z'
'-x,-y,-z'
'-x,y,-z'
'x,-y,z'
'x+1/2,y+1/2,z'
'-x+1/2,-y+1/2,-z'
'-x+1/2,y+1/2,-z'
'x+1/2,-y+1/2,z'
loop_
_atom_site_label
_atom_site_type_symbol
_atom_site_fract_x
_atom_site_fract_y
_atom_site_fract_z
Y1 Y 0.1435 0.0000 0.3378
Y2 Y 0.1628 0.0000 0.8225
Cu1 Cu 0.0000 0.5000 0.0000
Cu2 Cu 0.0000 0.5000 0.5000
O1 O 0.0000 0.0000 0.5000
O2 O 0.0134 0.5000 0.7885
O3 O 0.2211 0.0000 0.1134
O4 O 0.2488 0.0000 0.6206
```


Entry 5:
Diffraction record for ZnCu2O4. The powder X-ray diffraction pattern is calculated, not measured: it uses a structure optimized by DFT (PBE) and Cu Kα X-rays.

Principal peaks in the range 2θ from 10° to 90°, in order of falling intensity:
two_theta  Rel. int.  hkl
38.3  100  1 2 1
38.1  57  2 0 2
32.4  53  1 0 3
61.9  34  2 2 4
50.3  25  1 0 5
29.8  25  1 1 2
62.5  19  2 3 1
58.6  18  3 0 3

Cell and atoms:
```
data_ZnCu2O4
_space_group_name_H-M_alt 'I 41/a'
_space_group_IT_number 88
_cell_length_a 5.4234
_cell_length_b 5.4234
_cell_length_c 9.6154
_cell_angle_alpha 90.00
_cell_angle_beta 90.00
_cell_angle_gamma 90.00
loop_
_space_group_symop_operation_xyz
'x,y,z'
'-x,-y,-z'
'-y+3/4,x+1/4,z+1/4'
'y+3/4,-x+1/4,-z+1/4'
'-x+1/2,-y,z+1/2'
'x+1/2,y,-z+1/2'
'y+3/4,-x+3/4,z+3/4'
'-y+3/4,x+3/4,-z+3/4'
'x+1/2,y+1/2,z+1/2'
'-x+1/2,-y+1/2,-z+1/2'
'-y+1/4,x+3/4,z+3/4'
'y+1/4,-x+3/4,-z+3/4'
'-x,-y+1/2,z'
'x,y+1/2,-z'
'y+1/4,-x+1/4,z+1/4'
'-y+1/4,x+1/4,-z+1/4'
loop_
_atom_site_label
_atom_site_type_symbol
_atom_site_fract_x
_atom_site_fract_y
_atom_site_fract_z
Zn1 Zn 0.0000 0.2500 0.1250
Cu1 Cu 0.0000 0.0000 0.5000
O1 O 0.1680 0.4534 0.3329
```


Entry 6:
Diffraction record for ZnCu2O4. The powder X-ray diffraction pattern is calculated, not measured: it uses a structure optimized by DFT (PBE) and Cu Kα X-rays.

Principal peaks in the range 2θ from 10° to 90°, in order of falling intensity:
two_theta  Rel. int.  hkl
35.5  100  0 1 5
62.6  42  2 2 0
57.0  35  1 2 5
30.1  29  1 1 0
43.1  17  0 2 4
89.7  17  1 0 13
37.1  13  2 0 2
74.1  10  3 1 5

Cell and atoms:
```
data_ZnCu2O4
_space_group_name_H-M_alt 'R 3 m'
_space_group_IT_number 160
_space_group_name_Hall 'R 3 -2"'
_cell_length_a 5.9374
_cell_length_b 5.9374
_cell_length_c 14.5318
_cell_angle_alpha 90.00
_cell_angle_beta 90.00
_cell_angle_gamma 120.00
loop_
_atom_site_label
_atom_site_type_symbol
_atom_site_fract_x
_atom_site_fract_y
_atom_site_fract_z
Zn1 Zn 0.0000 0.0000 0.0000
Zn2 Zn 0.0000 0.0000 0.3845
Cu1 Cu 0.0000 0.0000 0.6202
Cu2 Cu 0.0000 0.5000 0.5005
O1 O 0.0000 0.0000 0.2492
O2 O 0.0000 0.0000 0.7493
O3 O 0.0307 0.5153 0.7616
O4 O 0.1792 0.3583 0.5711
```